The following is a theoretical PXRD pattern of Ba2SrPr2Hg5. It was derived from a structure optimized by DFT (PBE), using Cu Kα (weighted mean of Kα1 and Kα2).

The 10 most intense peaks (2θ from 5° to 70°), in order of rising 2θ:
h k l	d (Å)	I (rel.)
2 1 0	5.603	12.7
4 1 0	3.039	44.4
3 3 0	2.953	16.2
3 1 1	2.932	100.0
4 2 0	2.802	13.7
3 2 1	2.718	47.0
0 0 2	2.180	21.1
6 2 1	1.804	15.4
5 5 0	1.772	32.6
5 5 2	1.375	12.0

Atomic structure:
```
Ba2SrPr2Hg5
1.0
12.5289 0.0000 0.0000
0.0000 12.5289 0.0000
0.0000 0.0000 4.3609
Ba Sr Pr Hg
4 2 4 10
Cartesian
2.1731 4.0913 0.0000
4.0913 10.3558 0.0000
8.4376 2.1731 0.0000
10.3558 8.4376 0.0000
0.0000 0.0000 0.0000
6.2645 6.2645 0.0000
1.5815 7.8460 0.0000
4.6829 1.5815 0.0000
7.8460 10.9474 0.0000
10.9474 4.6829 0.0000
0.0000 6.2645 2.1805
0.9019 10.0852 2.1805
2.4438 0.9019 2.1805
3.8207 7.1664 2.1805
5.3625 3.8207 2.1805
6.2645 0.0000 2.1805
7.1664 8.7082 2.1805
8.7082 5.3625 2.1805
10.0852 11.6270 2.1805
11.6270 2.4438 2.1805
```